Record 1
The following is a theoretical powder diffractogram of La7PrY4. It was derived from a crystal structure in Alexandria, relaxed with GGA-PBE, using Cu Kα.
Lines closer than 0.1° are merged.

Structural model:
a = 8.804 Å, b = 8.804 Å, c = 9.640 Å
α = 115.51°, β = 115.51°, γ = 40.77°
Sites, in units of the cell vectors:
La1 0.000 0.000 0.000
La2 0.287 0.287 0.113
La3 0.288 0.288 0.766
La4 0.414 0.414 0.549
La5 0.586 0.586 0.451
La6 0.712 0.712 0.234
La7 0.713 0.713 0.887
Pr1 0.500 0.500 0.000
Y1 0.070 0.070 0.699
Y2 0.169 0.169 0.384
Y3 0.831 0.831 0.616
Y4 0.930 0.930 0.301

Principal peaks in the range 2θ from 10° to 90°, by angle:
| 2theta | intensity |
| --- | --- |
| 28.57 | 30 |
| 29.12 | 100 |
| 30.63 | 35 |
| 30.97 | 52 |
| 31.54 | 62 |
| 31.68 | 40 |
| 32.54 | 58 |
| 42.77 | 29 |

***

Record 2
The following is a theoretical powder diffractogram of LaPr4Y6. It was derived from a crystal structure in Alexandria, relaxed with GGA-PBE, using Cu Kα.
Lines closer than 0.1° are merged.

Structural model:
a = 11.161 Å, b = 11.161 Å, c = 3.594 Å
α = 90.00°, β = 90.00°, γ = 120.00°
Sites, in units of the cell vectors:
La1 0.000 0.000 0.000
Pr1 0.333 0.667 0.000
Pr2 0.397 0.198 0.500
Pr3 0.802 0.198 0.500
Pr4 0.802 0.603 0.500
Y1 0.007 0.504 0.000
Y2 0.170 0.341 0.500
Y3 0.170 0.830 0.500
Y4 0.496 0.504 0.000
Y5 0.496 0.993 0.000
Y6 0.659 0.830 0.500

Principal peaks in the range 2θ from 10° to 90°, by angle:
| 2theta | intensity |
| --- | --- |
| 24.36 | 34 |
| 29.56 | 30 |
| 31.01 | 85 |
| 32.08 | 100 |
| 35.02 | 27 |
| 37.49 | 31 |
| 56.51 | 29 |
| 61.36 | 30 |

***

Record 3
The following is a theoretical powder diffractogram of La3Pr3Y2. It was derived from a crystal structure in Alexandria, relaxed with GGA-PBE, using Cu Kα.
Lines closer than 0.1° are merged.

Structural model:
a = 8.982 Å, b = 8.982 Å, c = 6.151 Å
α = 109.79°, β = 109.79°, γ = 38.42°
Sites, in units of the cell vectors:
La1 0.000 0.000 0.000
La2 0.134 0.134 0.579
La3 0.866 0.866 0.421
Pr1 0.364 0.364 0.810
Pr2 0.500 0.500 0.500
Pr3 0.636 0.636 0.190
Y1 0.251 0.251 0.184
Y2 0.749 0.749 0.816

Principal peaks in the range 2θ from 10° to 90°, by angle:
| 2theta | intensity |
| --- | --- |
| 29.03 | 22 |
| 30.24 | 30 |
| 30.83 | 100 |
| 33.32 | 14 |
| 42.42 | 16 |
| 45.84 | 8 |
| 54.08 | 20 |
| 55.90 | 9 |

***

Question: Number 3 is which compound?
Answer: La3Pr3Y2

***

What did the second record say?
The following is a theoretical powder diffractogram of LaPr4Y6. It was derived from a crystal structure in Alexandria, relaxed with GGA-PBE, using Cu Kα.
Lines closer than 0.1° are merged.

Structural model:
a = 11.161 Å, b = 11.161 Å, c = 3.594 Å
α = 90.00°, β = 90.00°, γ = 120.00°
Sites, in units of the cell vectors:
La1 0.000 0.000 0.000
Pr1 0.333 0.667 0.000
Pr2 0.397 0.198 0.500
Pr3 0.802 0.198 0.500
Pr4 0.802 0.603 0.500
Y1 0.007 0.504 0.000
Y2 0.170 0.341 0.500
Y3 0.170 0.830 0.500
Y4 0.496 0.504 0.000
Y5 0.496 0.993 0.000
Y6 0.659 0.830 0.500

Principal peaks in the range 2θ from 10° to 90°, by angle:
| 2theta | intensity |
| --- | --- |
| 24.36 | 34 |
| 29.56 | 30 |
| 31.01 | 85 |
| 32.08 | 100 |
| 35.02 | 27 |
| 37.49 | 31 |
| 56.51 | 29 |
| 61.36 | 30 |